Calculated X-ray powder pattern of Eu2Ta2O7 for Cu Ka, from a structure optimized by DFT (GGA-PBE).

Lattice parameters (Å, degrees): 13.8225 13.8225 5.7112 90.00 90.00 163.42
Element x y z (fractional)
Eu  0.0542  0.9458  0.7500
Eu  0.2148  0.7852  0.2500
Eu  0.7852  0.2148  0.7500
Eu  0.9458  0.0542  0.2500
Ta  0.3406  0.6594  0.2500
Ta  0.4457  0.5543  0.7500
Ta  0.5543  0.4457  0.2500
Ta  0.6594  0.3406  0.7500
O  0.0464  0.9536  0.2500
O  0.1505  0.8495  0.7500
O  0.2920  0.7080  0.0095
O  0.2920  0.7080  0.4905
O  0.3998  0.6002  0.0094
O  0.3998  0.6002  0.4906
O  0.5000  0.5000  0.0000
O  0.5000  0.5000  0.5000
O  0.6002  0.3998  0.5094
O  0.6002  0.3998  0.9906
O  0.7080  0.2920  0.5095
O  0.7080  0.2920  0.9905
O  0.8495  0.1505  0.2500
O  0.9536  0.0464  0.7500

The 10 most intense peaks (2θ = 10–90°), low angle first:
24.99°, intensity 32; 26.06°, intensity 31; 27.49°, intensity 28; 29.03°, intensity 100; 30.47°, intensity 32; 31.32°, intensity 56; 31.90°, intensity 89; 45.50°, intensity 49; 45.93°, intensity 28; 57.90°, intensity 31